Structure and calculated X-ray diffraction stick pattern of LiMnAgCl5 (a DFT-relaxed cell (GGA-PBE, Alexandria); Cu Kα (λ = 1.5418 Å)).
Neutral-atom scattering factors, no anomalous dispersion.

Structure:
a = 7.2954 Å, b = 7.2954 Å, c = 8.9302 Å
α = 103.16°, β = 103.16°, γ = 96.97°
Atoms (fractional coordinates):
Li 0.0000 0.0000 0.0000
Li 0.0000 0.0000 0.5000
Mn 0.3799 0.6201 0.7500
Mn 0.6201 0.3799 0.2500
Ag 0.2894 0.7106 0.2500
Ag 0.7106 0.2894 0.7500
Cl 0.0632 0.9368 0.2500
Cl 0.2114 0.7168 0.5514
Cl 0.2832 0.7886 0.9486
Cl 0.3111 0.3475 0.1158
Cl 0.3475 0.3111 0.6158
Cl 0.6525 0.6889 0.3842
Cl 0.6889 0.6525 0.8842
Cl 0.7168 0.2114 0.0514
Cl 0.7886 0.2832 0.4486
Cl 0.9368 0.0632 0.7500

Most intense lines, 2θ = 10–80°, low angle first:
- 2θ = 12.67°, rel. 37
- 2θ = 19.55°, rel. 100
- 2θ = 21.65°, rel. 28
- 2θ = 23.41°, rel. 62
- 2θ = 25.51°, rel. 53
- 2θ = 31.16°, rel. 25